# Sm2HoErO6
Computed PXRD pattern, a wavelength of 1.5418 Å. Input: a cell relaxed with PBE.
No peak broadening, texture or thermal motion is included.

Structural model:
```
Sm2HoErO6
1.0
2.9408 1.6979 5.0706
-2.9408 1.6979 5.0706
0.0000 -3.3957 5.0706
Sm Ho Er O
2 1 1 6
Cartesian
0.0000 0.0000 0.0000
0.0000 0.0000 7.6017
0.0000 0.0000 3.3355
0.0000 0.0000 10.9332
-0.9452 -1.9635 6.8173
-1.7051 0.0957 9.3568
-1.2279 1.8003 6.8173
0.7697 -1.5245 9.3568
2.1731 0.1632 6.8173
0.9354 1.4289 9.3568
```

Largest 10 diffraction maxima, low angle first, 10° ≤ 2θ ≤ 80°:
21.0 deg, 4.232 Å, I 15
29.3 deg, 3.047 Å, I 100
30.4 deg, 2.941 Å, I 96
42.7 deg, 2.116 Å, I 42
47.3 deg, 1.920 Å, I 25
51.3 deg, 1.781 Å, I 14
53.3 deg, 1.718 Å, I 42
54.0 deg, 1.698 Å, I 27
63.2 deg, 1.470 Å, I 13
71.2 deg, 1.324 Å, I 16